# TbYO3
Calculated powder diffractogram, Cu Kα (λ = 1.5418 Å). Input: DFT lattice parameters and positions (PBE).
No peak broadening, texture or thermal motion is included.

Cell and atoms:
abc: 6.388 6.388 6.388
angles: 52.51 52.51 52.51
Positions (direct):
Tb  0.146  0.146  0.146
Tb  0.854  0.854  0.854
Y  0.353  0.353  0.353
Y  0.647  0.647  0.647
O  0.044  0.458  0.748
O  0.252  0.542  0.956
O  0.458  0.748  0.044
O  0.542  0.956  0.252
O  0.748  0.044  0.458
O  0.956  0.252  0.542

Most intense lines, 2θ from 10° to 80°, in order of rising 2θ:
2θ = 21.11°, I = 27; 2θ = 28.32°, I = 100; 2θ = 31.67°, I = 92; 2θ = 42.99°, I = 38; 2θ = 46.09°, I = 51; 2θ = 54.37°, I = 37